Computed X-ray diffraction stick pattern of CaNiP2 for Cu Ka, from a structure optimized by DFT (PBE).

Most intense lines, 10° ≤ 2θ ≤ 80°, by intensity:
2θ 36.42, d 2.467, I = 100
2θ 29.57, d 3.021, I = 87
2θ 19.84, d 4.474, I = 65
2θ 47.72, d 1.906, I = 59
2θ 40.32, d 2.237, I = 28
2θ 49.10, d 1.856, I = 27
2θ 27.00, d 3.302, I = 26
2θ 58.36, d 1.581, I = 22
2θ 38.42, d 2.343, I = 22
2θ 61.45, d 1.509, I = 18

Structural model:
Unit cell a=4.460 b=3.711 c=4.492 alpha=90.00 beta=95.09 gamma=90.00
Element x y z (fractional)
Ca 0.000 0.000 0.000
Ni 0.500 0.000 0.500
P 0.246 0.500 0.599
P 0.754 0.500 0.401

***

Computed X-ray diffraction stick pattern of Ca2NiP3 for Cu Ka, from a structure optimized by DFT (PBE).

Most intense lines, 10° ≤ 2θ ≤ 80°, by intensity:
2θ 33.12, d 2.705, I = 100
2θ 35.33, d 2.540, I = 42
2θ 47.36, d 1.920, I = 36
2θ 43.76, d 2.069, I = 24
2θ 42.04, d 2.149, I = 24
2θ 66.44, d 1.407, I = 24
2θ 21.48, d 4.138, I = 17
2θ 56.05, d 1.641, I = 17
2θ 62.30, d 1.490, I = 13
2θ 25.58, d 3.482, I = 12

Structural model:
Unit cell a=7.740 b=7.652 c=5.966 alpha=67.97 beta=66.42 gamma=45.61
Element x y z (fractional)
Ca 0.240 0.760 0.760
Ca 0.250 0.250 0.250
Ca 0.750 0.750 0.750
Ca 0.760 0.240 0.240
Ni 0.327 0.327 0.673
Ni 0.673 0.673 0.327
P 0.157 0.157 0.843
P 0.198 0.631 0.369
P 0.369 0.802 0.198
P 0.631 0.198 0.802
P 0.802 0.369 0.631
P 0.843 0.843 0.157

***

Computed X-ray diffraction stick pattern of Ca3NiP2Pd9 for Cu Ka, from a structure optimized by DFT (PBE).

Most intense lines, 10° ≤ 2θ ≤ 80°, by intensity:
2θ 32.42, d 2.762, I = 100
2θ 39.38, d 2.288, I = 92
2θ 19.40, d 4.576, I = 42
2θ 52.87, d 1.732, I = 36
2θ 60.77, d 1.524, I = 29
2θ 67.05, d 1.396, I = 22
2θ 38.15, d 2.359, I = 21
2θ 67.88, d 1.381, I = 16
2θ 41.84, d 2.159, I = 16
2θ 63.40, d 1.467, I = 12

Structural model:
Unit cell a=6.927 b=6.927 c=7.077 alpha=90.00 beta=90.00 gamma=120.00
Element x y z (fractional)
Ca 0.000 0.000 0.000
Ca 0.333 0.667 0.676
Ca 0.667 0.333 0.324
Ni 0.000 0.000 0.500
P 0.333 0.667 0.156
P 0.667 0.333 0.844
Pd 0.000 0.500 0.000
Pd 0.181 0.361 0.345
Pd 0.181 0.819 0.345
Pd 0.361 0.181 0.655
Pd 0.500 0.000 0.000
Pd 0.500 0.500 0.000
Pd 0.639 0.819 0.345
Pd 0.819 0.181 0.655
Pd 0.819 0.639 0.655

***

Computed X-ray diffraction stick pattern of CaNi4SnP2 for Cu Ka, from a structure optimized by DFT (PBE).

Most intense lines, 10° ≤ 2θ ≤ 80°, by intensity:
2θ 39.69, d 2.271, I = 100
2θ 46.60, d 1.949, I = 49
2θ 32.04, d 2.794, I = 40
2θ 47.40, d 1.918, I = 34
2θ 25.41, d 3.505, I = 30
2θ 11.04, d 8.011, I = 29
2θ 68.03, d 1.378, I = 15
2θ 51.28, d 1.781, I = 15
2θ 57.67, d 1.598, I = 15
2θ 22.81, d 3.898, I = 14

Structural model:
Unit cell a=3.898 b=3.898 c=8.011 alpha=90.00 beta=90.00 gamma=90.00
Element x y z (fractional)
Ca 0.000 0.000 0.000
Ni 0.000 0.500 0.284
Ni 0.000 0.500 0.716
Ni 0.500 0.000 0.284
Ni 0.500 0.000 0.716
Sn 0.000 0.000 0.500
P 0.500 0.500 0.147
P 0.500 0.500 0.853

***

Computed X-ray diffraction stick pattern of CaTcNiP2 for Cu Ka, from a structure optimized by DFT (PBE).

Most intense lines, 10° ≤ 2θ ≤ 80°, by intensity:
2θ 36.57, d 2.457, I = 100
2θ 15.70, d 5.644, I = 93
2θ 47.09, d 1.930, I = 43
2θ 46.28, d 1.962, I = 42
2θ 33.25, d 2.694, I = 34
2θ 59.69, d 1.549, I = 31
2θ 31.71, d 2.822, I = 21
2θ 49.94, d 1.826, I = 18
2θ 57.89, d 1.593, I = 14
2θ 68.79, d 1.365, I = 13

Structural model:
Unit cell a=6.269 b=6.269 c=6.269 alpha=144.14 beta=144.14 gamma=51.61
Element x y z (fractional)
Ca 0.000 0.000 0.000
Tc 0.750 0.250 0.500
Ni 0.250 0.750 0.500
P 0.363 0.363 0.000
P 0.637 0.637 0.000

***

Computed X-ray diffraction stick pattern of Ca6Ni2Pb for Cu Ka, from a structure optimized by DFT (PBE).

Most intense lines, 10° ≤ 2θ ≤ 80°, by intensity:
2θ 30.66, d 2.916, I = 100
2θ 33.17, d 2.701, I = 62
2θ 18.12, d 4.896, I = 47
2θ 16.66, d 5.322, I = 38
2θ 36.15, d 2.485, I = 37
2θ 44.66, d 2.029, I = 35
2θ 33.72, d 2.658, I = 35
2θ 17.87, d 4.964, I = 32
2θ 21.00, d 4.230, I = 28
2θ 36.71, d 2.448, I = 24

Structural model:
Unit cell a=8.771 b=8.771 c=8.771 alpha=112.13 beta=111.07 gamma=105.29
Element x y z (fractional)
Ca 0.028 0.235 0.793
Ca 0.184 0.290 0.474
Ca 0.184 0.710 0.894
Ca 0.324 0.018 0.695
Ca 0.324 0.629 0.305
Ca 0.442 0.235 0.207
Ca 0.558 0.765 0.793
Ca 0.676 0.371 0.695
Ca 0.676 0.982 0.305
Ca 0.816 0.290 0.106
Ca 0.816 0.710 0.526
Ca 0.972 0.765 0.207
Ni 0.111 0.611 0.500
Ni 0.380 0.000 0.380
Ni 0.620 0.000 0.620
Ni 0.889 0.389 0.500
Pb 0.000 0.000 0.000
Pb 0.500 0.500 0.000

***

Computed X-ray diffraction stick pattern of Ca2NiSn4Pd3 for Cu Ka, from a structure optimized by DFT (PBE).

Most intense lines, 10° ≤ 2θ ≤ 80°, by intensity:
2θ 43.36, d 2.087, I = 100
2θ 32.46, d 2.759, I = 89
2θ 40.06, d 2.251, I = 82
2θ 21.31, d 4.169, I = 57
2θ 31.37, d 2.852, I = 48
2θ 16.03, d 5.529, I = 39
2θ 75.05, d 1.266, I = 35
2θ 57.94, d 1.592, I = 28
2θ 51.74, d 1.767, I = 23
2θ 45.71, d 1.985, I = 23

Structural model:
Unit cell a=4.502 b=4.502 c=11.058 alpha=90.00 beta=90.00 gamma=90.00
Element x y z (fractional)
Ca 0.000 0.500 0.240
Ca 0.500 0.000 0.760
Ni 0.500 0.500 0.000
Sn 0.000 0.000 0.500
Sn 0.000 0.500 0.880
Sn 0.500 0.000 0.120
Sn 0.500 0.500 0.500
Pd 0.000 0.000 0.000
Pd 0.000 0.500 0.641
Pd 0.500 0.000 0.359

***

Computed X-ray diffraction stick pattern of CaPmNi10 for Cu Ka, from a structure optimized by DFT (PBE).

Most intense lines, 10° ≤ 2θ ≤ 80°, by intensity:
2θ 43.22, d 2.093, I = 100
2θ 42.29, d 2.137, I = 32
2θ 45.93, d 1.976, I = 29
2θ 30.82, d 2.902, I = 27
2θ 36.41, d 2.468, I = 25
2θ 48.42, d 1.880, I = 23
2θ 70.22, d 1.340, I = 22
2θ 64.20, d 1.451, I = 17
2θ 77.33, d 1.234, I = 17
2θ 10.35, d 8.544, I = 16

Structural model:
Unit cell a=3.952 b=4.939 c=8.544 alpha=90.00 beta=90.00 gamma=90.00
Element x y z (fractional)
Ca 0.000 0.000 0.000
Pm 0.000 0.500 0.500
Ni 0.000 0.000 0.332
Ni 0.000 0.000 0.668
Ni 0.000 0.500 0.166
Ni 0.000 0.500 0.834
Ni 0.500 0.000 0.500
Ni 0.500 0.251 0.251
Ni 0.500 0.251 0.749
Ni 0.500 0.500 0.000
Ni 0.500 0.749 0.251
Ni 0.500 0.749 0.749